Starting from DFT lattice parameters and positions (PBE+U), the PXRD pattern of Ba2AlMo3O8 was simulated for λ = 1.5418 Å (Cu Kα).
Lines closer than 0.1° are merged.

Top 10 peaks for 2θ = 10–90°, in order of rising 2θ:
(hkl)	d_spacing	I (rel.)
1 1 1	3.951	12
2 1 1	3.411	22
0 0 2	2.992	28
0 2 0	2.944	29
3 1 1	2.859	100
5 0 0	2.343	12
0 2 2	2.098	34
3 1 3	1.701	18
3 3 1	1.683	21
5 2 2	1.563	13

Structural model:
Cell lengths 11.7142, 5.8872, 5.9842 Å; angles 90.00, 90.00, 90.00 degrees
Space group Amm2 (No. 38)
One atom of each set of equivalent atoms:
Ba 0.1775 0.0000 0.0000
Al 0.5000 0.0000 0.8724
Mo 0.0000 0.0000 0.5019
Mo 0.3639 0.0000 0.5155
O 0.0000 0.2487 0.7537
O 0.1821 0.0000 0.4994
O 0.3843 0.2114 0.8120